For Fe4B3, a PBE-relaxed structure gives the theoretical PXRD pattern in this record (Cu Kα (λ = 1.5418 Å)).
Neutral-atom scattering factors, no anomalous dispersion.

Main lines, by intensity (2θ = 10–90°):
2θ 38.65, rel. 100
2θ 44.33, rel. 50
2θ 56.77, rel. 48
2θ 33.03, rel. 23
2θ 54.85, rel. 21
2θ 81.14, rel. 19
2θ 36.34, rel. 17
2θ 70.79, rel. 14

Structure:
a b c (Å): 7.196 7.196 7.196
angles (deg): 26.05 26.05 26.05
Positions (direct):
Fe  0.122  0.122  0.122
Fe  0.297  0.297  0.297
Fe  0.703  0.703  0.703
Fe  0.878  0.878  0.878
B  0.409  0.409  0.409
B  0.500  0.500  0.500
B  0.591  0.591  0.591


For Dy6YHo8, a PBE-relaxed structure gives the theoretical PXRD pattern in this record (Cu Kα (λ = 1.5418 Å)).
Neutral-atom scattering factors, no anomalous dispersion.

Main lines, by intensity (2θ = 10–90°):
2θ 31.64, rel. 100
2θ 32.65, rel. 29
2θ 30.68, rel. 21
2θ 37.04, rel. 15
2θ 53.50, rel. 13
2θ 60.70, rel. 12
2θ 35.15, rel. 11
2θ 55.70, rel. 11

Structure:
a b c (Å): 8.586 8.586 8.586
angles (deg): 63.18 63.18 63.18
Positions (direct):
Dy  0.040  0.727  0.609
Dy  0.273  0.391  0.960
Dy  0.391  0.960  0.273
Dy  0.609  0.040  0.727
Dy  0.727  0.609  0.040
Dy  0.960  0.273  0.391
Y  0.500  0.500  0.500
Ho  0.077  0.077  0.077
Ho  0.221  0.243  0.610
Ho  0.243  0.610  0.221
Ho  0.390  0.779  0.757
Ho  0.610  0.221  0.243
Ho  0.757  0.390  0.779
Ho  0.779  0.757  0.390
Ho  0.923  0.923  0.923


For Tm3Zn8Rh, a PBE-relaxed structure gives the theoretical PXRD pattern in this record (Cu Kα (λ = 1.5418 Å)).
Neutral-atom scattering factors, no anomalous dispersion.

Main lines, by intensity (2θ = 10–90°):
2θ 40.09, rel. 100
2θ 39.68, rel. 77
2θ 34.19, rel. 71
2θ 40.30, rel. 66
2θ 33.71, rel. 64
2θ 42.10, rel. 43
2θ 64.91, rel. 35
2θ 72.01, rel. 29

Structure:
a b c (Å): 9.254 9.254 9.254
angles (deg): 32.93 32.93 32.93
Positions (direct):
Tm  0.000  0.000  0.000
Tm  0.125  0.125  0.125
Tm  0.516  0.516  0.516
Zn  0.061  0.566  0.566
Zn  0.070  0.070  0.568
Zn  0.070  0.568  0.070
Zn  0.316  0.316  0.316
Zn  0.566  0.061  0.566
Zn  0.566  0.566  0.061
Zn  0.568  0.070  0.070
Zn  0.818  0.818  0.818
Rh  0.623  0.623  0.623


For KHg6Pd, a PBE-relaxed structure gives the theoretical PXRD pattern in this record (Cu Kα (λ = 1.5418 Å)).
Neutral-atom scattering factors, no anomalous dispersion.

Main lines, by intensity (2θ = 10–90°):
2θ 35.54, rel. 100
2θ 28.39, rel. 54
2θ 44.15, rel. 53
2θ 25.34, rel. 38
2θ 50.00, rel. 28
2θ 63.82, rel. 19
2θ 20.49, rel. 16
2θ 46.10, rel. 15

Structure:
a b c (Å): 10.942 10.942 10.942
angles (deg): 26.70 26.70 26.70
Positions (direct):
K  0.000  0.000  0.000
Hg  0.170  0.170  0.170
Hg  0.274  0.274  0.274
Hg  0.413  0.413  0.413
Hg  0.587  0.587  0.587
Hg  0.726  0.726  0.726
Hg  0.830  0.830  0.830
Pd  0.500  0.500  0.500


For CsSb2H, a PBE-relaxed structure gives the theoretical PXRD pattern in this record (Cu Kα (λ = 1.5418 Å)).
Neutral-atom scattering factors, no anomalous dispersion.

Main lines, by intensity (2θ = 10–90°):
2θ 30.60, rel. 100
2θ 29.22, rel. 85
2θ 25.84, rel. 62
2θ 19.54, rel. 48
2θ 27.65, rel. 35
2θ 51.49, rel. 33
2θ 12.84, rel. 31
2θ 22.67, rel. 30

Structure:
a b c (Å): 9.084 4.582 16.489
angles (deg): 90.00 123.25 90.00
Positions (direct):
Cs  0.225  0.250  0.250
Cs  0.225  0.250  0.750
Cs  0.775  0.750  0.250
Cs  0.775  0.750  0.750
Sb  0.072  0.245  0.474
Sb  0.072  0.255  0.974
Sb  0.377  0.745  0.974
Sb  0.377  0.755  0.474
Sb  0.623  0.245  0.526
Sb  0.623  0.255  0.026
Sb  0.928  0.745  0.026
Sb  0.928  0.755  0.526
H  0.289  0.000  0.539
H  0.289  0.500  0.039
H  0.711  0.000  0.461
H  0.711  0.500  0.961


For Li3Y3Ga8, a PBE-relaxed structure gives the theoretical PXRD pattern in this record (Cu Kα (λ = 1.5418 Å)).
Neutral-atom scattering factors, no anomalous dispersion.

Main lines, by intensity (2θ = 10–90°):
2θ 35.03, rel. 100
2θ 35.17, rel. 94
2θ 36.07, rel. 50
2θ 42.40, rel. 46
2θ 33.42, rel. 44
2θ 13.67, rel. 41
2θ 67.72, rel. 34
2θ 11.51, rel. 28

Structure:
a b c (Å): 8.327 8.327 8.327
angles (deg): 150.33 109.97 77.85
Positions (direct):
Li  0.000  0.000  0.000
Li  0.195  0.500  0.695
Li  0.805  0.500  0.305
Y  0.203  0.703  0.500
Y  0.500  0.000  0.500
Y  0.797  0.297  0.500
Ga  0.075  0.861  0.215
Ga  0.211  0.346  0.865
Ga  0.354  0.139  0.215
Ga  0.481  0.346  0.135
Ga  0.519  0.654  0.865
Ga  0.646  0.861  0.785
Ga  0.789  0.654  0.135
Ga  0.925  0.139  0.785


For CsMg2InI8, a PBE-relaxed structure gives the theoretical PXRD pattern in this record (Cu Kα (λ = 1.5418 Å)).
Neutral-atom scattering factors, no anomalous dispersion.

Main lines, by intensity (2θ = 10–90°):
2θ 26.67, rel. 100
2θ 25.77, rel. 36
2θ 41.27, rel. 34
2θ 21.14, rel. 32
2θ 22.75, rel. 27
2θ 26.53, rel. 24
2θ 42.12, rel. 23
2θ 29.18, rel. 22

Structure:
a b c (Å): 7.448 7.448 11.183
angles (deg): 95.20 95.20 68.44
Positions (direct):
Cs  0.000  0.000  0.000
Mg  0.373  0.373  0.702
Mg  0.627  0.627  0.298
In  0.000  0.000  0.500
I  0.222  0.730  0.305
I  0.238  0.238  0.487
I  0.270  0.778  0.695
I  0.310  0.310  0.923
I  0.690  0.690  0.077
I  0.730  0.222  0.305
I  0.762  0.762  0.513
I  0.778  0.270  0.695


For Rb2YNp3O12, a PBE-relaxed structure gives the theoretical PXRD pattern in this record (Cu Kα (λ = 1.5418 Å)).
Neutral-atom scattering factors, no anomalous dispersion.

Main lines, by intensity (2θ = 10–90°):
2θ 26.20, rel. 100
2θ 27.49, rel. 98
2θ 26.48, rel. 72
2θ 14.16, rel. 72
2θ 13.64, rel. 51
2θ 45.43, rel. 46
2θ 46.80, rel. 39
2θ 27.03, rel. 33

Structure:
a b c (Å): 7.771 7.771 7.771
angles (deg): 61.84 61.84 61.84
Positions (direct):
Rb  0.125  0.125  0.125
Rb  0.875  0.875  0.875
Y  0.500  0.500  0.500
Np  0.000  0.500  0.500
Np  0.500  0.000  0.500
Np  0.500  0.500  0.000
O  0.158  0.573  0.573
O  0.189  0.189  0.571
O  0.189  0.571  0.189
O  0.427  0.427  0.842
O  0.427  0.842  0.427
O  0.429  0.811  0.811
O  0.571  0.189  0.189
O  0.573  0.158  0.573
O  0.573  0.573  0.158
O  0.811  0.429  0.811
O  0.811  0.811  0.429
O  0.842  0.427  0.427


For CaYSi, a PBE-relaxed structure gives the theoretical PXRD pattern in this record (Cu Kα (λ = 1.5418 Å)).
Neutral-atom scattering factors, no anomalous dispersion.

Main lines, by intensity (2θ = 10–90°):
2θ 29.28, rel. 100
2θ 11.61, rel. 66
2θ 35.82, rel. 64
2θ 38.23, rel. 46
2θ 67.56, rel. 21
2θ 63.68, rel. 20
2θ 53.04, rel. 18
2θ 35.34, rel. 15

Structure:
a b c (Å): 4.708 4.708 7.619
angles (deg): 90.00 90.00 90.00
Positions (direct):
Ca  0.250  0.250  0.134
Ca  0.750  0.750  0.866
Y  0.250  0.750  0.500
Y  0.750  0.250  0.500
Si  0.250  0.250  0.737
Si  0.750  0.750  0.263


For VCr14Os, a PBE-relaxed structure gives the theoretical PXRD pattern in this record (Cu Kα (λ = 1.5418 Å)).
Neutral-atom scattering factors, no anomalous dispersion.

Main lines, by intensity (2θ = 10–90°):
2θ 44.32, rel. 100
2θ 81.53, rel. 19
2θ 21.74, rel. 12
2θ 64.51, rel. 10
2θ 81.67, rel. 10
2θ 10.82, rel. 7
2θ 38.13, rel. 6
2θ 18.79, rel. 5

Structure:
a b c (Å): 5.003 5.003 8.179
angles (deg): 90.00 90.00 109.32
Positions (direct):
V  0.000  0.000  0.000
Cr  0.000  0.000  0.500
Cr  0.000  0.500  0.000
Cr  0.000  0.500  0.500
Cr  0.247  0.247  0.255
Cr  0.247  0.247  0.745
Cr  0.250  0.750  0.252
Cr  0.250  0.750  0.748
Cr  0.500  0.000  0.000
Cr  0.500  0.000  0.500
Cr  0.500  0.500  0.500
Cr  0.750  0.250  0.252
Cr  0.750  0.250  0.748
Cr  0.753  0.753  0.255
Cr  0.753  0.753  0.745
Os  0.500  0.500  0.000


For ThAgTe, a PBE-relaxed structure gives the theoretical PXRD pattern in this record (Cu Kα (λ = 1.5418 Å)).
Neutral-atom scattering factors, no anomalous dispersion.

Main lines, by intensity (2θ = 10–90°):
2θ 36.13, rel. 100
2θ 32.67, rel. 97
2θ 20.93, rel. 57
2θ 35.61, rel. 50
2θ 49.49, rel. 30
2θ 62.79, rel. 30
2θ 67.94, rel. 23
2θ 64.96, rel. 18

Structure:
a b c (Å): 8.775 8.775 8.775
angles (deg): 32.92 32.92 32.92
Positions (direct):
Th  0.072  0.072  0.072
Th  0.928  0.928  0.928
Ag  0.332  0.332  0.332
Ag  0.668  0.668  0.668
Te  0.209  0.209  0.209
Te  0.791  0.791  0.791


For CeMn4Si2, a PBE-relaxed structure gives the theoretical PXRD pattern in this record (Cu Kα (λ = 1.5418 Å)).
Neutral-atom scattering factors, no anomalous dispersion.

Main lines, by intensity (2θ = 10–90°):
2θ 38.70, rel. 100
2θ 60.13, rel. 33
2θ 46.31, rel. 27
2θ 46.75, rel. 27
2θ 30.79, rel. 23
2θ 36.08, rel. 22
2θ 41.76, rel. 22
2θ 33.18, rel. 22

Structure:
a b c (Å): 6.774 6.774 3.886
angles (deg): 90.00 90.00 146.36
Positions (direct):
Ce  0.000  0.000  0.000
Mn  0.199  0.801  0.500
Mn  0.300  0.700  0.000
Mn  0.700  0.300  0.000
Mn  0.801  0.199  0.500
Si  0.403  0.597  0.500
Si  0.597  0.403  0.500